Starting from a DFT-relaxed cell (GGA-PBE, OQMD), the powder diffraction line list of Ta7Re5 was simulated for Cu Kα.
Lines closer than 0.1° are merged.

Most intense lines, 2θ = 10–80°, by angle:
Position (°2θ)  d_spacing  I_rel
33.7  2.657  28
37.3  2.408  53
40.0  2.252  100
40.6  2.221  67
68.8  1.365  25
70.9  1.329  30

Atomic structure:
```
data_Ta7Re5
_space_group_name_H-M_alt 'P 63/m m c'
_space_group_IT_number 194
_space_group_name_Hall '-P 6c 2c'
_cell_length_a 5.3145
_cell_length_b 5.3145
_cell_length_c 16.9581
_cell_angle_alpha 90.00
_cell_angle_beta 90.00
_cell_angle_gamma 120.00
loop_
_atom_site_label
_atom_site_fract_x
_atom_site_fract_y
_atom_site_fract_z
_atom_site_occupancy
Ta1 0.0000 0.0000 0.0970 1
Ta2 0.0000 0.5000 0.0000 1
Ta3 0.3333 0.6667 0.1608 1
Re1 0.1610 0.3219 0.7500 1
Re2 0.3333 0.6667 0.6289 1
```


Starting from a DFT-relaxed cell (GGA-PBE, OQMD), the powder diffraction line list of Ta2Re11 was simulated for Cu Kα.
Lines closer than 0.1° are merged.

Most intense lines, 2θ = 10–80°, by angle:
Position (°2θ)  d_spacing  I_rel
35.2  2.547  44
38.7  2.325  43
40.6  2.224  100
41.0  2.199  45
41.7  2.166  53
44.3  2.046  50

Atomic structure:
```
data_Ta2Re11
_space_group_name_H-M_alt 'R -3 m'
_space_group_IT_number 166
_space_group_name_Hall '-R 3 2"'
_cell_length_a 5.0946
_cell_length_b 5.0946
_cell_length_c 27.3495
_cell_angle_alpha 90.00
_cell_angle_beta 90.00
_cell_angle_gamma 120.00
loop_
_atom_site_label
_atom_site_fract_x
_atom_site_fract_y
_atom_site_fract_z
_atom_site_occupancy
Ta1 0.0000 0.0000 0.1665 1
Re1 0.0000 0.0000 0.0000 1
Re2 0.0000 0.0000 0.3472 1
Re3 0.0000 0.0000 0.4550 1
Re4 0.0046 0.5023 0.4100 1
```


Starting from a DFT-relaxed cell (GGA-PBE, OQMD), the powder diffraction line list of Ta13Re2 was simulated for Cu Kα.
Lines closer than 0.1° are merged.

Most intense lines, 2θ = 10–80°, by angle:
Position (°2θ)  d_spacing  I_rel
36.7  2.450  84
37.8  2.381  40
38.3  2.350  32
39.4  2.289  70
40.6  2.224  100
41.6  2.172  48

Atomic structure:
```
data_Ta13Re2
_space_group_name_H-M_alt 'P 42/m n m'
_space_group_IT_number 136
_space_group_name_Hall '-P 4n 2n'
_cell_length_a 10.100
_cell_length_b 10.100
_cell_length_c 5.309
_cell_angle_alpha 90.00
_cell_angle_beta 90.00
_cell_angle_gamma 90.00
loop_
_atom_site_label
_atom_site_fract_x
_atom_site_fract_y
_atom_site_fract_z
_atom_site_occupancy
Ta1 0.000 0.000 0.000 1
Ta2 0.036 0.365 0.500 1
Ta3 0.065 0.261 0.000 1
Ta4 0.181 0.819 0.252 1
Re1 0.102 0.102 0.500 1
```


Starting from a DFT-relaxed cell (GGA-PBE, OQMD), the powder diffraction line list of TaRe5 was simulated for Cu Kα.
Lines closer than 0.1° are merged.

Most intense lines, 2θ = 10–80°, by angle:
Position (°2θ)  d_spacing  I_rel
35.0  2.565  28
38.1  2.364  56
41.3  2.187  100
42.1  2.147  69
67.0  1.396  29
73.9  1.282  29

Atomic structure:
```
data_TaRe5
_space_group_name_H-M_alt 'P 63/m m c'
_space_group_IT_number 194
_space_group_name_Hall '-P 6c 2c'
_cell_length_a 5.1291
_cell_length_b 5.1291
_cell_length_c 16.7498
_cell_angle_alpha 90.00
_cell_angle_beta 90.00
_cell_angle_gamma 120.00
loop_
_atom_site_label
_atom_site_fract_x
_atom_site_fract_y
_atom_site_fract_z
_atom_site_occupancy
Ta1 0.0000 0.0000 0.0944 1
Re1 0.0000 0.5000 0.0000 1
Re2 0.1602 0.3203 0.2500 1
Re3 0.3333 0.6667 0.1267 1
Re4 0.3333 0.6667 0.6604 1
```